For Pr12Si6Pb, a cell relaxed with GGA-PBE gives the computed powder diffractogram in this record (CuKα).

Structural model:
Unit cell a=8.995 b=8.995 c=8.995 alpha=109.47 beta=109.47 gamma=109.47
Fractional positions:
Pr 0.109 0.811 0.298
Pr 0.189 0.298 0.487
Pr 0.189 0.702 0.891
Pr 0.298 0.109 0.811
Pr 0.298 0.487 0.189
Pr 0.487 0.189 0.298
Pr 0.513 0.811 0.702
Pr 0.702 0.513 0.811
Pr 0.702 0.891 0.189
Pr 0.811 0.298 0.109
Pr 0.811 0.702 0.513
Pr 0.891 0.189 0.702
Si 0.113 0.613 0.500
Si 0.387 0.500 0.887
Si 0.500 0.113 0.613
Si 0.500 0.887 0.387
Si 0.613 0.500 0.113
Si 0.887 0.387 0.500
Pb 0.000 0.000 0.000

Principal peaks in the range 10 to 90 degrees two-theta, in order of rising 2θ:
2θ (°)	I/Imax
27.15	66
29.80	62
32.25	100
34.54	23
44.48	19
51.29	43
54.46	46
63.32	24



For Na3PaRh3O8, a cell relaxed with GGA-PBE gives the computed powder diffractogram in this record (CuKα).

Structural model:
Unit cell a=6.272 b=6.276 c=6.746 alpha=117.51 beta=90.13 gamma=119.94
Fractional positions:
Na 0.000 0.000 0.000
Na 0.000 0.500 0.000
Na 0.500 0.000 0.000
Pa 0.000 0.500 0.500
Rh 0.000 0.000 0.500
Rh 0.500 0.000 0.500
Rh 0.500 0.500 0.500
O 0.238 0.979 0.715
O 0.243 0.473 0.713
O 0.267 0.524 0.286
O 0.272 0.045 0.317
O 0.728 0.955 0.683
O 0.733 0.476 0.714
O 0.757 0.527 0.287
O 0.762 0.021 0.285

Principal peaks in the range 10 to 90 degrees two-theta, in order of rising 2θ:
2θ (°)	I/Imax
15.54	100
17.12	17
31.38	18
33.39	37
34.63	38
39.24	42
39.37	21
54.57	14



For Sm2TmIn9, a cell relaxed with GGA-PBE gives the computed powder diffractogram in this record (CuKα).

Structural model:
Unit cell a=4.664 b=4.664 c=13.967 alpha=90.00 beta=90.00 gamma=90.00
Fractional positions:
Sm 0.000 0.000 0.168
Sm 0.000 0.000 0.832
Tm 0.000 0.000 0.500
In 0.000 0.500 0.000
In 0.000 0.500 0.337
In 0.000 0.500 0.663
In 0.500 0.000 0.000
In 0.500 0.000 0.337
In 0.500 0.000 0.663
In 0.500 0.500 0.167
In 0.500 0.500 0.500
In 0.500 0.500 0.833

Principal peaks in the range 10 to 90 degrees two-theta, in order of rising 2θ:
2θ (°)	I/Imax
33.29	100
38.63	50
55.78	33
66.50	26
66.60	13
69.91	11
82.77	4
82.96	2



For Pr12Cu6Sn, a cell relaxed with GGA-PBE gives the computed powder diffractogram in this record (CuKα).

Structural model:
Unit cell a=8.908 b=8.908 c=8.908 alpha=109.47 beta=109.47 gamma=109.47
Fractional positions:
Pr 0.111 0.299 0.813
Pr 0.187 0.486 0.299
Pr 0.187 0.889 0.701
Pr 0.299 0.187 0.486
Pr 0.299 0.813 0.111
Pr 0.486 0.299 0.187
Pr 0.514 0.701 0.813
Pr 0.701 0.187 0.889
Pr 0.701 0.813 0.514
Pr 0.813 0.111 0.299
Pr 0.813 0.514 0.701
Pr 0.889 0.701 0.187
Cu 0.121 0.500 0.621
Cu 0.379 0.879 0.500
Cu 0.500 0.379 0.879
Cu 0.500 0.621 0.121
Cu 0.621 0.121 0.500
Cu 0.879 0.500 0.379
Sn 0.000 0.000 0.000

Principal peaks in the range 10 to 90 degrees two-theta, in order of rising 2θ:
2θ (°)	I/Imax
27.42	32
30.10	42
32.57	100
34.89	18
44.94	20
51.83	33
55.04	33
64.01	19